(1)
InGa2Ag5: computed powder XRD pattern (λ = 1.5418 Å (Cu Kα)), based on a DFT-relaxed cell (GGA-PBE, Alexandria).
Peak positions follow from Bragg's law for the DFT cell and can differ from measured ones.

Cell and atoms:
```
InGa2Ag5
1.0
-1.5097 4.4101 5.5640
1.5097 -4.4101 5.5640
1.5097 4.4101 -5.5640
In Ga Ag
1 2 5
direct
0.0000 0.0000 0.0000
0.2574 0.7574 0.5000
0.7426 0.2426 0.5000
0.1304 0.3676 0.7629
0.3953 0.6324 0.7629
0.5000 0.0000 0.5000
0.6047 0.3676 0.2371
0.8696 0.6324 0.2371
```

Top 12 peaks for 2θ = 10–80°, low angle first:
2theta  Rel. int.
36.97  96
38.25  100
38.44  48
40.93  40
50.98  16
57.40  27
61.41  12
67.33  22
70.23  16
72.76  12
74.70  26
76.47  12

(2)
InGa6Ag: computed powder XRD pattern (λ = 1.5418 Å (Cu Kα)), based on a DFT-relaxed cell (GGA-PBE, Alexandria).
Peak positions follow from Bragg's law for the DFT cell and can differ from measured ones.

Cell and atoms:
```
InGa6Ag
1.0
3.2095 0.0000 0.0000
0.0000 5.8663 0.0000
0.0000 0.0000 8.4858
In Ga Ag
1 6 1
direct
0.0000 0.0000 0.0000
0.0000 0.2603 0.4871
0.0000 0.5000 0.9853
0.0000 0.7397 0.4871
0.5000 0.0000 0.2892
0.5000 0.2576 0.7492
0.5000 0.7424 0.7492
0.5000 0.5000 0.2551
```

Top 12 peaks for 2θ = 10–80°, low angle first:
2theta  Rel. int.
32.29  57
35.06  100
42.62  26
43.12  64
44.50  33
53.28  20
57.42  12
67.43  13
70.50  17
74.08  9
74.58  20
75.42  13

(3)
In5Ga2Ag6: computed powder XRD pattern (λ = 1.5418 Å (Cu Kα)), based on a DFT-relaxed cell (GGA-PBE, Alexandria).
Peak positions follow from Bragg's law for the DFT cell and can differ from measured ones.

Cell and atoms:
```
In5Ga2Ag6
1.0
6.3086 -4.0797 0.0000
6.3086 4.0797 0.0000
-0.4328 0.0000 11.2179
In Ga Ag
10 4 12
direct
0.1387 0.5153 0.2226
0.1586 0.7821 0.0331
0.1796 0.8204 0.7500
0.2179 0.8414 0.4669
0.4847 0.8613 0.2774
0.5153 0.1387 0.7226
0.7821 0.1586 0.5331
0.8204 0.1796 0.2500
0.8414 0.2179 0.9669
0.8613 0.4847 0.7774
0.1896 0.4830 0.5504
0.4830 0.1896 0.0504
0.5170 0.8104 0.9496
0.8104 0.5170 0.4496
0.1432 0.1682 0.6299
0.1682 0.1432 0.1299
0.1825 0.2157 0.3817
0.2157 0.1825 0.8817
0.4579 0.4750 0.8732
0.4750 0.4579 0.3732
0.5250 0.5421 0.6268
0.5421 0.5250 0.1268
0.7843 0.8175 0.1183
0.8175 0.7843 0.6183
0.8318 0.8568 0.8701
0.8568 0.8318 0.3701
```

Top 12 peaks for 2θ = 10–80°, low angle first:
2theta  Rel. int.
23.82  15
25.38  21
30.87  16
32.48  17
33.31  26
34.51  12
38.97  49
39.48  100
40.19  10
40.89  26
41.33  13
43.05  17

(4)
In2Ga5Ag3: computed powder XRD pattern (λ = 1.5418 Å (Cu Kα)), based on a DFT-relaxed cell (GGA-PBE, Alexandria).
Peak positions follow from Bragg's law for the DFT cell and can differ from measured ones.

Cell and atoms:
```
In2Ga5Ag3
1.0
5.9573 -6.3316 0.0000
5.9573 6.3316 0.0000
-1.7896 0.0000 5.3513
In Ga Ag
4 10 6
direct
0.1121 0.6116 0.8016
0.3884 0.8879 0.6984
0.6116 0.1121 0.3016
0.8879 0.3884 0.1984
0.0393 0.9607 0.7500
0.2389 0.2587 0.5035
0.2448 0.5289 0.3103
0.2587 0.2389 0.0035
0.4711 0.7552 0.1897
0.5289 0.2448 0.8103
0.7413 0.7611 0.9965
0.7552 0.4711 0.6897
0.7611 0.7413 0.4965
0.9607 0.0393 0.2500
0.0328 0.7389 0.3078
0.2611 0.9672 0.1922
0.4575 0.5425 0.7500
0.5425 0.4575 0.2500
0.7389 0.0328 0.8078
0.9672 0.2611 0.6922
```

Top 12 peaks for 2θ = 10–80°, low angle first:
2theta  Rel. int.
29.54  22
32.29  65
33.49  36
34.78  100
35.22  72
39.07  44
41.29  74
41.68  42
49.58  22
53.98  22
66.16  26
66.77  26

(5)
InGa4Ag8: computed powder XRD pattern (λ = 1.5418 Å (Cu Kα)), based on a DFT-relaxed cell (GGA-PBE, Alexandria).
Peak positions follow from Bragg's law for the DFT cell and can differ from measured ones.

Cell and atoms:
```
InGa4Ag8
1.0
4.7607 -2.0043 0.0000
4.7607 2.0043 0.0000
-0.7454 0.0000 12.3688
In Ga Ag
1 4 8
direct
0.0000 0.0000 0.0000
0.1511 0.1511 0.5394
0.3742 0.3742 0.8298
0.6258 0.6258 0.1702
0.8489 0.8489 0.4606
0.0685 0.0685 0.7667
0.2375 0.2375 0.3163
0.3013 0.3013 0.0834
0.4578 0.4578 0.6096
0.5422 0.5422 0.3904
0.6987 0.6987 0.9166
0.7625 0.7625 0.6837
0.9315 0.9315 0.2333
```

Top 12 peaks for 2θ = 10–80°, low angle first:
2theta  Rel. int.
37.23  100
37.49  98
42.19  33
42.77  34
45.24  29
63.57  18
64.01  19
73.69  11
74.50  12
74.99  11
78.21  11
78.37  10

(6)
In2Ga2Ag7: computed powder XRD pattern (λ = 1.5418 Å (Cu Kα)), based on a DFT-relaxed cell (GGA-PBE, Alexandria).
Peak positions follow from Bragg's law for the DFT cell and can differ from measured ones.

Cell and atoms:
```
In2Ga2Ag7
1.0
5.0672 -4.8106 0.0000
5.0672 4.8106 0.0000
-2.5230 0.0000 4.3869
In Ga Ag
2 2 7
direct
0.1903 0.8097 0.0000
0.8097 0.1903 0.0000
0.2836 0.2836 0.5199
0.7164 0.7164 0.4801
0.0000 0.0000 0.5000
0.0710 0.5843 0.3240
0.3993 0.3993 0.1303
0.4157 0.9290 0.6760
0.5843 0.0710 0.3240
0.6007 0.6007 0.8697
0.9290 0.4157 0.6760
```

Top 12 peaks for 2θ = 10–80°, low angle first:
2theta  Rel. int.
29.65  13
31.95  11
35.42  37
37.39  27
38.18  20
39.06  18
40.24  100
42.88  8
52.44  11
61.45  9
66.84  16
69.37  7

(7)
InGa2Ag5: computed powder XRD pattern (λ = 1.5418 Å (Cu Kα)), based on a DFT-relaxed cell (GGA-PBE, Alexandria).
Peak positions follow from Bragg's law for the DFT cell and can differ from measured ones.

Cell and atoms:
```
InGa2Ag5
1.0
9.5097 0.0000 0.0000
0.0000 10.0642 0.0000
0.0000 0.0000 6.1510
In Ga Ag
4 8 20
direct
0.2372 0.0887 0.0000
0.2628 0.5887 0.0000
0.7372 0.4113 0.0000
0.7628 0.9113 0.0000
0.0000 0.5000 0.2586
0.0000 0.5000 0.7414
0.2311 0.0941 0.5000
0.2689 0.5941 0.5000
0.5000 0.0000 0.2586
0.5000 0.0000 0.7414
0.7311 0.4059 0.5000
0.7689 0.9059 0.5000
0.0000 0.0000 0.2598
0.0000 0.0000 0.7402
0.0111 0.7433 0.0000
0.0151 0.7393 0.5000
0.2407 0.3414 0.2569
0.2407 0.3414 0.7431
0.2593 0.8414 0.2569
0.2593 0.8414 0.7431
0.4849 0.2393 0.5000
0.4889 0.2433 0.0000
0.5000 0.5000 0.2598
0.5000 0.5000 0.7402
0.5111 0.7567 0.0000
0.5151 0.7607 0.5000
0.7407 0.1586 0.2569
0.7407 0.1586 0.7431
0.7593 0.6586 0.2569
0.7593 0.6586 0.7431
0.9849 0.2607 0.5000
0.9889 0.2567 0.0000
```

Top 12 peaks for 2θ = 10–80°, low angle first:
2theta  Rel. int.
35.49  58
36.96  17
37.84  53
39.21  100
40.57  62
44.84  27
60.13  24
63.14  22
69.25  15
73.32  14
75.11  18
76.02  23

(8)
In3GaAg12: computed powder XRD pattern (λ = 1.5418 Å (Cu Kα)), based on a DFT-relaxed cell (GGA-PBE, Alexandria).
Peak positions follow from Bragg's law for the DFT cell and can differ from measured ones.

Cell and atoms:
```
In3GaAg12
1.0
4.1768 0.0000 0.0000
0.0000 4.1768 0.0000
0.0000 0.0000 17.0098
In Ga Ag
3 1 12
direct
0.0000 0.0000 0.0000
0.0000 0.0000 0.2533
0.0000 0.0000 0.7467
0.0000 0.0000 0.5000
0.0000 0.5000 0.1268
0.0000 0.5000 0.3807
0.0000 0.5000 0.6193
0.0000 0.5000 0.8732
0.5000 0.0000 0.1268
0.5000 0.0000 0.3807
0.5000 0.0000 0.6193
0.5000 0.0000 0.8732
0.5000 0.5000 0.0000
0.5000 0.5000 0.2541
0.5000 0.5000 0.5000
0.5000 0.5000 0.7459
```

Top 10 peaks for 2θ = 10–80°, low angle first:
2theta  Rel. int.
34.23  1
37.06  100
42.52  16
43.33  32
62.32  20
62.94  10
68.49  1
74.21  11
75.35  23
78.93  10

(9)
Mg3In2Ga2Ag4: computed powder XRD pattern (λ = 1.5418 Å (Cu Kα)), based on a DFT-relaxed cell (GGA-PBE, Alexandria).
Peak positions follow from Bragg's law for the DFT cell and can differ from measured ones.

Cell and atoms:
```
Mg3In2Ga2Ag4
1.0
4.5584 0.0000 0.0000
-2.2792 3.9477 0.0000
0.0000 0.0000 12.7458
Mg In Ga Ag
3 2 2 4
direct
0.0000 0.0000 0.0000
0.0000 0.0000 0.2497
0.0000 0.0000 0.7503
0.3333 0.6667 0.5754
0.6667 0.3333 0.4246
0.3333 0.6667 0.1327
0.6667 0.3333 0.8673
0.3333 0.6667 0.3429
0.3333 0.6667 0.8959
0.6667 0.3333 0.1041
0.6667 0.3333 0.6571
```

Top 12 peaks for 2θ = 10–80°, low angle first:
2theta  Rel. int.
22.52  60
28.00  25
30.92  35
36.23  54
39.54  100
42.20  38
49.15  31
54.70  16
59.20  13
69.57  15
71.73  16
73.55  14

(10)
InGaAg2Te2Se2: computed powder XRD pattern (λ = 1.5418 Å (Cu Kα)), based on a DFT-relaxed cell (GGA-PBE, Alexandria).
Peak positions follow from Bragg's law for the DFT cell and can differ from measured ones.

Cell and atoms:
```
InGaAg2Te2Se2
1.0
4.4595 -6.0604 0.0000
4.4595 6.0604 0.0000
-4.3728 0.0000 4.4691
In Ga Ag Te Se
1 1 2 2 2
direct
0.0000 0.0000 0.0000
0.2371 0.7629 0.5000
0.5080 0.4920 0.0000
0.7352 0.2648 0.5000
0.1277 0.4002 0.0155
0.5998 0.8723 0.9845
0.3532 0.1037 0.4916
0.8963 0.6468 0.5084
```

Top 12 peaks for 2θ = 10–80°, low angle first:
2theta  Rel. int.
24.77  100
40.41  27
41.10  25
41.50  24
47.62  16
48.34  16
49.53  14
57.86  4
59.10  4
65.48  6
66.06  6
75.90  7

(11)
Sr3InGa2Ag9: computed powder XRD pattern (λ = 1.5418 Å (Cu Kα)), based on a DFT-relaxed cell (GGA-PBE, Alexandria).
Peak positions follow from Bragg's law for the DFT cell and can differ from measured ones.

Cell and atoms:
```
Sr3InGa2Ag9
1.0
7.1242 0.0000 0.0000
-3.5621 6.1698 0.0000
0.0000 0.0000 8.9697
Sr In Ga Ag
3 1 2 9
direct
0.0000 0.0000 0.0000
0.3333 0.6667 0.7057
0.6667 0.3333 0.2943
0.0000 0.0000 0.5000
0.3333 0.6667 0.1602
0.6667 0.3333 0.8398
0.0000 0.5000 0.0000
0.1979 0.3957 0.3798
0.1979 0.8021 0.3798
0.3957 0.1979 0.6202
0.5000 0.0000 0.0000
0.5000 0.5000 0.0000
0.6043 0.8021 0.3798
0.8021 0.1979 0.6202
0.8021 0.6043 0.6202
```

Top 12 peaks for 2θ = 10–80°, low angle first:
2theta  Rel. int.
17.45  28
19.80  11
24.54  14
29.88  16
30.65  68
33.30  19
35.31  100
39.95  28
43.75  10
50.30  30
51.30  31
63.81  13

(12)
Sr2Ga4AgIr3: computed powder XRD pattern (λ = 1.5418 Å (Cu Kα)), based on a DFT-relaxed cell (GGA-PBE, Alexandria).
Peak positions follow from Bragg's law for the DFT cell and can differ from measured ones.

Cell and atoms:
```
Sr2Ga4AgIr3
1.0
4.3914 0.0000 0.0000
0.0000 4.3914 0.0000
0.0000 0.0000 10.4236
Sr Ga Ag Ir
2 4 1 3
direct
0.0000 0.5000 0.2476
0.5000 0.0000 0.7524
0.0000 0.0000 0.0000
0.0000 0.5000 0.6325
0.5000 0.0000 0.3675
0.5000 0.5000 0.0000
0.0000 0.0000 0.5000
0.0000 0.5000 0.8739
0.5000 0.0000 0.1261
0.5000 0.5000 0.5000
```

Top 12 peaks for 2θ = 10–80°, low angle first:
2theta  Rel. int.
21.96  32
26.54  25
30.03  33
32.87  72
33.60  100
41.11  91
45.44  66
48.33  29
53.60  36
59.54  30
70.13  25
77.96  26